[1]
Mn6O5F7: theoretical powder XRD pattern (Cu Kα X-rays), based on a structure optimized by DFT (PBE+U).
Neutral-atom scattering factors, no anomalous dispersion.

Cell and atoms:
a b c (Å): 5.1786 5.7392 14.4250
angles (deg): 88.91 87.39 89.93
Space group P1 (No. 1)
Asymmetric unit:
Mn1 0.0000 0.0000 0.0000 x1
Mn2 0.9997 0.0676 0.3233 x1
Mn3 0.0099 0.5020 0.8214 x1
Mn4 0.0192 0.9547 0.6649 x1
Mn5 0.0363 0.5253 0.5045 x1
Mn6 0.4716 0.6552 0.9932 x1
Mn7 0.4984 0.2514 0.1628 x1
Mn8 0.5036 0.2205 0.8267 x1
Mn9 0.5194 0.6639 0.6638 x1
Mn10 0.5310 0.5954 0.3280 x1
Mn11 0.5426 0.2312 0.5056 x1
Mn12 0.9844 0.5309 0.1575 x1
O1 0.1617 0.7202 0.0629 x1
O2 0.1925 0.7174 0.7340 x1
O3 0.2956 0.4712 0.2266 x1
O4 0.3134 0.4546 0.8932 x1
O5 0.3504 0.4711 0.5734 x1
O6 0.6676 0.4786 0.0842 x1
O7 0.6922 0.4618 0.7566 x1
O8 0.7303 0.4685 0.4382 x1
O9 0.7764 0.3098 0.2410 x1
O10 0.8449 0.7253 0.5952 x1
F1 0.1673 0.1955 0.7457 x1
F2 0.1957 0.2298 0.0833 x1
F3 0.2073 0.7443 0.3998 x1
F4 0.2115 0.2724 0.4192 x1
F5 0.3430 0.0120 0.2420 x1
F6 0.3517 0.9708 0.9147 x1
F7 0.3712 0.9759 0.5820 x1
F8 0.6634 0.9680 0.7480 x1
F9 0.6638 0.0033 0.0841 x1
F10 0.7008 0.0013 0.4230 x1
F11 0.8075 0.7298 0.9211 x1
F12 0.8311 0.7831 0.2546 x1
F13 0.8462 0.2414 0.9063 x1
F14 0.8786 0.2103 0.5879 x1

Main lines, by angle (10° ≤ 2θ ≤ 80°):
h k l, 2θ (°), I (rel.)
0 1 3, 23.9, 77
0 1 -3, 24.4, 70
1 1 3, 29.1, 100
1 -1 3, 29.5, 94
-1 1 3, 30.1, 77
1 1 -3, 30.5, 80
2 0 0, 34.7, 31
1 -2 0, 35.8, 36
-1 2 3, 40.7, 35
2 0 6, 50.7, 43
2 0 -6, 53.2, 39
3 2 0, 62.9, 40

[2]
MgMn6O8F4: theoretical powder XRD pattern (Cu Kα X-rays), based on a structure optimized by DFT (PBE+U).
Neutral-atom scattering factors, no anomalous dispersion.

Cell and atoms:
a b c (Å): 3.0606 5.2509 14.3709
angles (deg): 79.64 89.59 89.67
Space group P1 (No. 1)
Asymmetric unit:
Mg1 0.0000 0.0000 0.0000 x1
Mn1 0.0002 0.4938 0.4994 x1
Mn2 0.0010 0.5378 0.2181 x1
Mn3 0.4986 0.0009 0.6631 x1
Mn4 0.5000 0.5004 0.9990 x1
Mn5 0.5017 0.9882 0.3361 x1
Mn6 0.9993 0.4525 0.7806 x1
O1 0.0021 0.3800 0.9278 x1
O2 0.0019 0.8574 0.2728 x1
O3 0.4977 0.6746 0.7527 x1
O4 0.4992 0.3106 0.5669 x1
O5 0.5013 0.6765 0.4318 x1
O6 0.5025 0.3160 0.2470 x1
O7 0.9977 0.6190 0.0710 x1
O8 0.9991 0.1328 0.7261 x1
F1 0.0041 0.1537 0.4031 x1
F2 0.4976 0.1029 0.0743 x1
F3 0.5023 0.8989 0.9249 x1
F4 0.9953 0.8328 0.5966 x1

Main lines, by angle (10° ≤ 2θ ≤ 80°):
h k l, 2θ (°), I (rel.)
0 0 3, 18.8, 24
0 1 3, 23.1, 56
0 0 4, 25.2, 29
0 1 4, 27.9, 100
0 1 -4, 33.2, 32
1 1 0, 34.0, 29
1 -1 0, 34.1, 28
0 2 0, 34.7, 40
1 0 3, 34.9, 23
1 0 -3, 35.1, 44
-1 1 2, 35.4, 22
2 0 0, 60.5, 29

[3]
NaNdEuWO6: theoretical powder XRD pattern (Cu Kα X-rays), based on a structure optimized by DFT (PBE+U).
Neutral-atom scattering factors, no anomalous dispersion.

Cell and atoms:
a b c (Å): 8.1272 8.1272 8.1272
angles (deg): 90.00 90.00 90.00
Space group F-43m (No. 216)
Asymmetric unit:
Na1 0.0000 0.0000 0.0000 x4
Nd1 0.2500 0.2500 0.2500 x4
Eu1 0.2500 0.2500 0.7500 x4
W1 0.0000 0.0000 0.5000 x4
O1 0.0000 0.0000 0.2622 x24

Main lines, by angle (10° ≤ 2θ ≤ 80°):
h k l, 2θ (°), I (rel.)
1 1 1, 18.9, 28
2 2 0, 31.1, 100
3 1 1, 36.7, 14
2 2 2, 38.4, 6
4 0 0, 44.6, 30
3 3 1, 48.8, 6
4 2 2, 55.4, 40
5 1 1, 59.1, 5
4 4 0, 64.9, 18
5 3 1, 68.3, 5
6 2 0, 73.7, 18
5 3 3, 76.9, 2

[4]
ZnNiMoP2O9: theoretical powder XRD pattern (Cu Kα X-rays), based on a structure optimized by DFT (PBE+U).
Neutral-atom scattering factors, no anomalous dispersion.

Cell and atoms:
a b c (Å): 14.3420 6.4382 7.6164
angles (deg): 90.00 90.00 90.00
Space group Pnma (No. 62)
Asymmetric unit:
Zn1 0.2195 0.2500 0.0605 x4
Ni1 0.0000 0.0000 0.0000 x4
Mo1 0.1152 0.2500 0.6437 x4
P1 0.0725 0.7500 0.6533 x4
P2 0.1923 0.7500 0.1232 x4
O1 0.0047 0.2500 0.4863 x4
O2 0.0276 0.7500 0.8357 x4
O3 0.0563 0.2500 0.8690 x4
O4 0.1378 0.5418 0.1151 x8
O5 0.1413 0.5670 0.6271 x8
O6 0.2317 0.2500 0.4772 x4
O7 0.2443 0.2500 0.7957 x4

Main lines, by angle (10° ≤ 2θ ≤ 80°):
h k l, 2θ (°), I (rel.)
2 0 1, 17.0, 54
2 1 0, 18.5, 22
1 0 2, 24.2, 100
4 0 1, 27.5, 22
0 2 0, 27.7, 41
1 2 1, 30.8, 56
2 2 1, 32.7, 21
5 0 1, 33.4, 41
4 0 2, 34.4, 21
2 2 2, 38.7, 29
4 2 1, 39.5, 21
5 2 3, 56.2, 25

[5]
AlCoNF6: theoretical powder XRD pattern (Cu Kα X-rays), based on a structure optimized by DFT (PBE+U).
Neutral-atom scattering factors, no anomalous dispersion.

Cell and atoms:
a b c (Å): 7.2508 6.9515 10.0015
angles (deg): 90.00 90.00 90.00
Space group Pnma (No. 62)
Asymmetric unit:
Al1 0.0000 0.0000 0.0000 x4
Co1 0.2249 0.2500 0.2647 x4
N1 0.0124 0.2500 0.6265 x4
F1 0.0167 0.2500 0.9451 x4
F2 0.0323 0.7500 0.6794 x4
F3 0.1552 0.0527 0.1390 x8
F4 0.2003 0.5625 0.8946 x8

Main lines, by angle (10° ≤ 2θ ≤ 80°):
h k l, 2θ (°), I (rel.)
1 0 1, 15.1, 43
0 1 1, 15.5, 100
2 1 1, 29.2, 31
1 0 3, 29.5, 6
0 1 3, 29.7, 15
1 2 1, 29.9, 12
2 0 2, 30.5, 19
0 2 2, 31.3, 20
3 0 3, 46.4, 10
0 3 3, 47.8, 14
2 2 4, 51.6, 17
0 4 0, 52.7, 6

[6]
NaLi2FePCO7: theoretical powder XRD pattern (Cu Kα X-rays), based on a structure optimized by DFT (PBE+U).
Neutral-atom scattering factors, no anomalous dispersion.

Cell and atoms:
a b c (Å): 6.5736 8.6828 10.2204
angles (deg): 87.29 89.70 89.22
Space group P1 (No. 1)
Asymmetric unit:
Na1 0.0000 0.0000 0.0000 x1
Na2 0.0010 0.5110 0.7463 x1
Na3 0.2577 0.1686 0.2424 x1
Na4 0.2697 0.1692 0.7430 x1
Li1 0.0360 0.9753 0.5031 x1
Li2 0.4743 0.9727 0.0113 x1
Li3 0.4747 0.9746 0.5036 x1
Li4 0.5204 0.5255 0.2413 x1
Li5 0.5294 0.5314 0.7415 x1
Li6 0.7229 0.3523 0.9992 x1
Li7 0.7434 0.3457 0.4946 x1
Li8 0.9808 0.5271 0.2404 x1
Fe1 0.2540 0.6032 0.0165 x1
Fe2 0.2639 0.5976 0.5106 x1
Fe3 0.7446 0.9056 0.2391 x1
Fe4 0.7570 0.9092 0.7240 x1
P1 0.2493 0.8361 0.2705 x1
P2 0.2670 0.8360 0.7612 x1
P3 0.7443 0.6717 0.9805 x1
P4 0.7571 0.6656 0.4711 x1
C1 0.2575 0.2978 0.4827 x1
C2 0.2654 0.3056 0.9839 x1
C3 0.7427 0.2127 0.7630 x1
C4 0.7512 0.2183 0.2585 x1
O1 0.0584 0.9315 0.2286 x1
O2 0.0709 0.9247 0.7127 x1
O3 0.2468 0.6703 0.2204 x1
O4 0.2482 0.1482 0.4772 x1
O5 0.2525 0.3625 0.5948 x1
O6 0.2545 0.3674 0.0972 x1
O7 0.2594 0.3958 0.8788 x1
O8 0.2615 0.8258 0.4242 x1
O9 0.2729 0.3863 0.3770 x1
O10 0.2734 0.8275 0.9140 x1
O11 0.2774 0.6719 0.7104 x1
O12 0.2821 0.1567 0.9763 x1
O13 0.4310 0.9299 0.2135 x1
O14 0.4455 0.9358 0.7047 x1
O15 0.5687 0.5651 0.0327 x1
O16 0.5804 0.5657 0.5295 x1
O17 0.7240 0.3539 0.7996 x1
O18 0.7307 0.8325 0.0386 x1
O19 0.7352 0.6881 0.8280 x1
O20 0.7389 0.1082 0.3495 x1
O21 0.7414 0.6767 0.3179 x1
O22 0.7514 0.1808 0.6402 x1
O23 0.7524 0.1003 0.8524 x1
O24 0.7548 0.1834 0.1362 x1
O25 0.7566 0.8322 0.5204 x1
O26 0.7587 0.3609 0.2924 x1
O27 0.9406 0.5813 0.0242 x1
O28 0.9511 0.5727 0.5114 x1

Main lines, by angle (10° ≤ 2θ ≤ 80°):
h k l, 2θ (°), I (rel.)
0 1 0, 10.2, 82
0 1 2, 19.8, 37
0 1 -2, 20.6, 39
1 -1 2, 24.7, 18
0 2 2, 26.3, 32
2 0 0, 27.1, 100
0 3 0, 30.9, 22
2 2 0, 34.0, 20
0 0 4, 35.2, 36
1 3 -2, 38.9, 18
-1 2 4, 42.7, 18
4 0 0, 55.9, 23

[7]
ZnCoGe2O6: theoretical powder XRD pattern (Cu Kα X-rays), based on a structure optimized by DFT (PBE+U).
Neutral-atom scattering factors, no anomalous dispersion.

Cell and atoms:
a b c (Å): 5.4032 6.8829 6.8896
angles (deg): 85.17 76.79 76.82
Space group P-1 (No. 2)
Asymmetric unit:
Zn1 0.2502 0.2438 0.2565 x2
Co1 0.2493 0.9009 0.5986 x2
Ge1 0.2454 0.7890 0.1101 x2
Ge2 0.2549 0.3896 0.7109 x2
O1 0.0294 0.3032 0.9147 x2
O2 0.1113 0.6296 0.6335 x2
O3 0.1359 0.9688 0.2993 x2
O4 0.3645 0.2006 0.5309 x2
O5 0.3889 0.8666 0.8704 x2
O6 0.4704 0.5852 0.1969 x2

Main lines, by angle (10° ≤ 2θ ≤ 80°):
h k l, 2θ (°), I (rel.)
1 -1 1, 25.8, 35
0 2 0, 26.6, 38
1 2 0, 28.5, 64
0 1 2, 29.4, 100
1 -1 2, 33.5, 67
2 0 0, 35.0, 89
2 1 2, 38.7, 16
1 -3 1, 49.1, 21
1 4 1, 54.1, 31
0 3 -3, 59.5, 18
3 -1 2, 59.8, 17
-1 4 1, 64.0, 31

[8]
CsRb2FeF6: theoretical powder XRD pattern (Cu Kα X-rays), based on a structure optimized by DFT (PBE+U).
Neutral-atom scattering factors, no anomalous dispersion.

Cell and atoms:
a b c (Å): 9.3307 9.3307 9.3307
angles (deg): 90.00 90.00 90.00
Space group Fm-3m (No. 225)
Asymmetric unit:
Cs1 0.0000 0.0000 0.0000 x4
Rb1 0.2500 0.2500 0.2500 x8
Fe1 0.0000 0.0000 0.5000 x4
F1 0.0000 0.0000 0.2974 x24

Main lines, by angle (10° ≤ 2θ ≤ 80°):
h k l, 2θ (°), I (rel.)
2 0 0, 19.0, 5
2 2 0, 27.0, 100
3 1 1, 31.8, 7
2 2 2, 33.3, 2
4 0 0, 38.6, 35
3 3 1, 42.2, 7
4 2 2, 47.8, 36
3 3 3, 50.8, 3
4 4 0, 55.7, 20
6 2 0, 63.0, 22
4 4 4, 69.8, 6
6 4 2, 76.4, 22

[9]
BaYFe2O5: theoretical powder XRD pattern (Cu Kα X-rays), based on a structure optimized by DFT (PBE+U).
Neutral-atom scattering factors, no anomalous dispersion.

Cell and atoms:
a b c (Å): 3.9835 3.9835 7.6111
angles (deg): 90.00 90.00 90.00
Space group P4/mmm (No. 123)
Asymmetric unit:
Ba1 0.0000 0.0000 0.0000 x1
Y1 0.0000 0.0000 0.5000 x1
Fe1 0.5000 0.5000 0.2682 x2
O1 0.0000 0.5000 0.3136 x4
O2 0.5000 0.5000 0.0000 x1

Main lines, by angle (10° ≤ 2θ ≤ 80°):
h k l, 2θ (°), I (rel.)
1 0 0, 22.3, 9
1 1 0, 31.8, 43
1 0 2, 32.5, 100
1 1 2, 39.8, 16
2 0 0, 45.5, 32
0 0 4, 47.8, 9
2 1 2, 57.1, 39
1 1 4, 58.5, 20
2 2 0, 66.4, 9
2 0 4, 68.2, 12
3 1 0, 75.5, 7
3 0 2, 75.9, 8